Record 1
Starting from a structure optimized by DFT (GGA-PBE), the powder diffractogram of SrLaMg6 was computed for CuKα.
Kinematic intensities with the Lorentz-polarization factor, no thermal factor.

Most intense lines, 5° ≤ 2θ ≤ 70°, sorted by position:
d (Å), Rel. int.
5.800, 34
5.393, 33
3.949, 37
3.134, 31
2.899, 21
2.710, 100
2.696, 29
2.554, 34
2.044, 18
1.559, 18

abc: 5.393 6.893 6.893
angles: 65.42 90.00 90.00
Element x y z (fractional)
Sr: 0.000 0.000 0.000
La: 0.000 0.507 0.507
Mg: 0.000 0.001 0.491
Mg: 0.000 0.491 0.001
Mg: 0.500 0.319 0.319
Mg: 0.500 0.341 0.829
Mg: 0.500 0.808 0.808
Mg: 0.500 0.829 0.341

Record 2
Starting from a structure optimized by DFT (GGA-PBE), the powder diffractogram of LaMg14Ti was computed for CuKα.
Kinematic intensities with the Lorentz-polarization factor, no thermal factor.

Most intense lines, 5° ≤ 2θ ≤ 70°, sorted by position:
d (Å), Rel. int.
10.417, 56
5.023, 24
4.908, 19
2.782, 29
2.604, 39
2.512, 55
2.454, 100
1.638, 19
1.473, 19
1.387, 21

abc: 10.417 6.558 6.558
angles: 58.05 90.00 90.00
Element x y z (fractional)
La: 0.000 0.000 0.000
Mg: 0.000 0.005 0.497
Mg: 0.000 0.497 0.005
Mg: 0.245 0.662 0.662
Mg: 0.255 0.171 0.656
Mg: 0.255 0.656 0.171
Mg: 0.258 0.167 0.167
Mg: 0.500 0.499 0.499
Mg: 0.500 0.499 0.998
Mg: 0.500 0.998 0.499
Mg: 0.500 0.998 0.998
Mg: 0.742 0.167 0.167
Mg: 0.745 0.171 0.656
Mg: 0.745 0.656 0.171
Mg: 0.755 0.662 0.662
Ti: 0.000 0.494 0.494

Record 3
Starting from a structure optimized by DFT (GGA-PBE), the powder diffractogram of LaMg14Ti was computed for CuKα.
Kinematic intensities with the Lorentz-polarization factor, no thermal factor.

Most intense lines, 5° ≤ 2θ ≤ 70°, sorted by position:
d (Å), Rel. int.
5.693, 31
4.977, 19
3.810, 25
2.846, 28
2.564, 23
2.489, 100
1.905, 17
1.643, 18
1.465, 18
1.384, 19

abc: 6.574 6.574 10.256
angles: 90.00 90.00 120.00
Element x y z (fractional)
La: 0.000 0.000 0.000
Mg: 0.000 0.500 0.500
Mg: 0.010 0.505 0.000
Mg: 0.168 0.335 0.260
Mg: 0.168 0.335 0.740
Mg: 0.168 0.832 0.260
Mg: 0.168 0.832 0.740
Mg: 0.495 0.505 0.000
Mg: 0.495 0.990 0.000
Mg: 0.500 0.000 0.500
Mg: 0.500 0.500 0.500
Mg: 0.665 0.832 0.260
Mg: 0.665 0.832 0.740
Mg: 0.667 0.333 0.246
Mg: 0.667 0.333 0.754
Ti: 0.000 0.000 0.500

Record 4
Starting from a structure optimized by DFT (GGA-PBE), the powder diffractogram of LaMgTl2 was computed for CuKα.
Kinematic intensities with the Lorentz-polarization factor, no thermal factor.

Most intense lines, 5° ≤ 2θ ≤ 70°, sorted by position:
d (Å), Rel. int.
4.427, 9
3.834, 21
2.711, 100
2.312, 5
2.213, 7
1.917, 18
1.759, 2
1.715, 10
1.565, 39
1.355, 12

abc: 5.422 5.422 5.422
angles: 60.00 60.00 60.00
Element x y z (fractional)
La: 0.000 0.000 0.000
Mg: 0.500 0.500 0.500
Tl: 0.250 0.250 0.250
Tl: 0.750 0.750 0.750

Record 5
Starting from a structure optimized by DFT (GGA-PBE), the powder diffractogram of La2MgTl was computed for CuKα.
Kinematic intensities with the Lorentz-polarization factor, no thermal factor.

Most intense lines, 5° ≤ 2θ ≤ 70°, sorted by position:
d (Å), Rel. int.
4.592, 27
3.977, 1
2.812, 100
2.398, 16
1.988, 19
1.825, 7
1.624, 39
1.531, 5
1.406, 12
1.344, 5

abc: 5.624 5.624 5.624
angles: 60.00 60.00 60.00
Element x y z (fractional)
La: 0.250 0.250 0.250
La: 0.750 0.750 0.750
Mg: 0.000 0.000 0.000
Tl: 0.500 0.500 0.500

Record 6
Starting from a structure optimized by DFT (GGA-PBE), the powder diffractogram of LaTmMg2 was computed for CuKα.
Kinematic intensities with the Lorentz-polarization factor, no thermal factor.

Most intense lines, 5° ≤ 2θ ≤ 70°, sorted by position:
d (Å), Rel. int.
4.451, 2
3.855, 61
2.726, 100
2.325, 1
2.226, 19
1.927, 18
1.724, 26
1.574, 38
1.363, 12

abc: 5.452 5.452 5.452
angles: 60.00 60.00 60.00
Element x y z (fractional)
La: 0.000 0.000 0.000
Tm: 0.500 0.500 0.500
Mg: 0.250 0.250 0.250
Mg: 0.750 0.750 0.750

Record 7
Starting from a structure optimized by DFT (GGA-PBE), the powder diffractogram of LaMg6W was computed for CuKα.
Kinematic intensities with the Lorentz-polarization factor, no thermal factor.

Most intense lines, 5° ≤ 2θ ≤ 70°, sorted by position:
d (Å), Rel. int.
5.883, 98
5.152, 70
3.876, 69
2.941, 25
2.677, 46
2.597, 25
2.576, 40
2.554, 66
2.375, 100
1.856, 31

abc: 5.152 6.606 6.606
angles: 54.14 90.00 90.00
Element x y z (fractional)
La: 0.000 0.000 0.000
Mg: 0.000 0.499 0.998
Mg: 0.000 0.998 0.499
Mg: 0.500 0.167 0.167
Mg: 0.500 0.176 0.642
Mg: 0.500 0.632 0.632
Mg: 0.500 0.642 0.176
W: 0.000 0.491 0.491

Record 8
Starting from a structure optimized by DFT (GGA-PBE), the powder diffractogram of LaMg6W was computed for CuKα.
Kinematic intensities with the Lorentz-polarization factor, no thermal factor.

Most intense lines, 5° ≤ 2θ ≤ 70°, sorted by position:
d (Å), Rel. int.
5.680, 33
5.598, 100
3.762, 20
2.799, 31
2.736, 30
2.510, 24
2.472, 44
2.445, 47
2.292, 28
1.868, 21

abc: 5.020 6.527 6.527
angles: 59.04 90.00 90.00
Element x y z (fractional)
La: 0.000 0.000 0.000
Mg: 0.000 0.008 0.531
Mg: 0.000 0.530 0.530
Mg: 0.000 0.531 0.008
Mg: 0.500 0.364 0.364
Mg: 0.500 0.384 0.861
Mg: 0.500 0.861 0.384
W: 0.500 0.882 0.882